# 1
Diffraction record for Li2Ac3Tl2. The powder XRD pattern is calculated, not measured: it uses DFT lattice parameters and positions (GGA-PBE) and Cu Kα.
Kinematic intensities with the Lorentz-polarization factor, no thermal factor.

Structure:
```
Li2Ac3Tl2
1.0
-1.985 2.565 11.078
1.985 -2.565 11.078
1.985 2.565 -11.078
Li Ac Tl
2 3 2
Direct
0.067 0.067 0.000 Li
0.933 0.933 0.000 Li
0.197 0.697 0.500 Ac
0.500 0.500 0.000 Ac
0.803 0.303 0.500 Ac
0.365 0.865 0.500 Tl
0.635 0.135 0.500 Tl
```

The 10 most intense peaks (10° ≤ 2θ ≤ 80°), in order of rising 2θ:
2θ/deg	I/Imax
17.7	48
24.1	31
28.4	53
29.6	100
30.2	88
32.8	49
33.3	82
35.0	48
46.9	54
57.7	35


# 2
Diffraction record for Tl6Cd2Bi. The powder XRD pattern is calculated, not measured: it uses DFT lattice parameters and positions (GGA-PBE) and Cu Kα.
Kinematic intensities with the Lorentz-polarization factor, no thermal factor.

Structure:
```
Tl6Cd2Bi
1.0
3.506 0.000 0.000
-1.753 3.036 0.000
0.000 0.000 25.135
Tl Cd Bi
6 2 1
Direct
0.000 0.000 0.063 Tl
0.000 0.000 0.268 Tl
0.000 0.000 0.732 Tl
0.000 0.000 0.937 Tl
0.333 0.667 0.385 Tl
0.333 0.667 0.615 Tl
0.333 0.667 0.166 Cd
0.333 0.667 0.834 Cd
0.000 0.000 0.500 Bi
```

The 10 most intense peaks (10° ≤ 2θ ≤ 80°), in order of rising 2θ:
2θ/deg	I/Imax
29.4	60
32.0	48
32.8	100
34.5	83
36.6	17
44.1	34
52.2	43
56.4	18
62.6	43
63.0	16


# 3
Diffraction record for FePb2Se. The powder XRD pattern is calculated, not measured: it uses DFT lattice parameters and positions (GGA-PBE) and Cu Kα.
Kinematic intensities with the Lorentz-polarization factor, no thermal factor.

Structure:
```
FePb2Se
1.0
3.324 0.000 0.000
0.000 3.324 0.000
0.000 0.000 8.447
Fe Pb Se
1 2 1
Direct
0.000 0.000 0.000 Fe
0.000 0.000 0.599 Pb
0.500 0.500 0.260 Pb
0.500 0.500 0.893 Se
```

The 10 most intense peaks (10° ≤ 2θ ≤ 80°), in order of rising 2θ:
2θ/deg	I/Imax
28.9	84
31.8	39
34.3	100
38.3	61
50.6	43
55.3	21
61.6	21
63.5	19
65.2	20
66.7	30


# 4
Diffraction record for Pt3AuO6. The powder XRD pattern is calculated, not measured: it uses DFT lattice parameters and positions (GGA-PBE) and Cu Kα.
Kinematic intensities with the Lorentz-polarization factor, no thermal factor.

Structure:
```
Pt3AuO6
1.0
3.697 -5.207 0.000
3.697 5.207 0.000
0.000 0.000 3.200
Pt Au O
3 1 6
Direct
0.000 0.000 0.000 Pt
0.000 0.500 0.500 Pt
0.500 0.000 0.500 Pt
0.500 0.500 0.000 Au
0.069 0.331 0.000 O
0.331 0.069 0.000 O
0.342 0.658 0.500 O
0.658 0.342 0.500 O
0.669 0.931 0.000 O
0.931 0.669 0.000 O
```

The 10 most intense peaks (10° ≤ 2θ ≤ 80°), in order of rising 2θ:
2θ/deg	I/Imax
29.6	100
32.8	81
34.4	27
37.2	45
49.3	14
51.6	53
58.8	16
60.5	29
60.7	13
66.1	21


Q: Which formula does entry 4 have?
A: Pt3AuO6


Repeat the fourth record exactly.
Diffraction record for Pt3AuO6. The powder XRD pattern is calculated, not measured: it uses DFT lattice parameters and positions (GGA-PBE) and Cu Kα.
Kinematic intensities with the Lorentz-polarization factor, no thermal factor.

Structure:
```
Pt3AuO6
1.0
3.697 -5.207 0.000
3.697 5.207 0.000
0.000 0.000 3.200
Pt Au O
3 1 6
Direct
0.000 0.000 0.000 Pt
0.000 0.500 0.500 Pt
0.500 0.000 0.500 Pt
0.500 0.500 0.000 Au
0.069 0.331 0.000 O
0.331 0.069 0.000 O
0.342 0.658 0.500 O
0.658 0.342 0.500 O
0.669 0.931 0.000 O
0.931 0.669 0.000 O
```

The 10 most intense peaks (10° ≤ 2θ ≤ 80°), in order of rising 2θ:
2θ/deg	I/Imax
29.6	100
32.8	81
34.4	27
37.2	45
49.3	14
51.6	53
58.8	16
60.5	29
60.7	13
66.1	21